For PrNiS2O8, a DFT-relaxed cell (PBE+U, Alexandria) gives the calculated powder XRD pattern in this record (Cu Kα).
Kinematic intensities with the Lorentz-polarization factor, no thermal factor.

Peak list (10 most intense, 2θ from 10° to 90°, sorted by position)
| d [Å] | Position (°2θ) | intensity |
| --- | --- | --- |
| 7.053 | 12.55 | 375 |
| 4.478 | 19.83 | 1000 |
| 3.780 | 23.53 | 553 |
| 2.771 | 32.31 | 968 |
| 2.585 | 34.70 | 672 |
| 2.427 | 37.03 | 250 |
| 2.084 | 43.41 | 524 |
| 1.890 | 48.14 | 499 |
| 1.526 | 60.69 | 279 |
| 1.457 | 63.90 | 195 |

Cell and atoms:
a b c (Å): 5.1707 5.1707 7.0534
angles (deg): 90.00 90.00 120.00
Fractional coordinates of all 12 atoms:
Pr (0.0000, 0.0000, 0.0000)
Ni (0.0000, 0.0000, 0.5000)
S (0.3333, 0.6667, 0.2175)
S (0.6667, 0.3333, 0.7825)
O (0.1752, 0.3505, 0.2830)
O (0.1752, 0.8248, 0.2830)
O (0.3333, 0.6667, 0.0036)
O (0.3505, 0.1752, 0.7170)
O (0.6495, 0.8248, 0.2830)
O (0.6667, 0.3333, 0.9964)
O (0.8248, 0.1752, 0.7170)
O (0.8248, 0.6495, 0.7170)